(1)
For La3CuGeS7, a crystal structure in the Materials Project, relaxed with GGA-PBE gives the computed powder XRD pattern in this record (Cu Kα, 1.54184 Å).
Lines closer than 0.1° are merged.

abc: 10.3613 10.3613 5.9232
angles: 90.00 90.00 120.00
Fractional coordinates of all 24 atoms:
La 0.1267 0.3562 0.0000
La 0.2295 0.8733 0.0000
La 0.3562 0.2295 0.5000
La 0.6438 0.7705 0.0000
La 0.7705 0.1267 0.5000
La 0.8733 0.6438 0.5000
Cu 0.0000 0.0000 0.4714
Cu 0.0000 0.0000 0.9714
Ge 0.3333 0.6667 0.5820
Ge 0.6667 0.3333 0.0820
S 0.0885 0.2489 0.4842
S 0.1063 0.5845 0.7323
S 0.1604 0.9115 0.4842
S 0.2489 0.1604 0.9842
S 0.3333 0.6667 0.2095
S 0.4155 0.5218 0.7323
S 0.4782 0.8937 0.7323
S 0.5218 0.1063 0.2323
S 0.5845 0.4782 0.2323
S 0.6667 0.3333 0.7095
S 0.7511 0.8396 0.4842
S 0.8396 0.0885 0.9842
S 0.8937 0.4155 0.2323
S 0.9115 0.7511 0.9842

The 12 most intense peaks (10° ≤ 2θ ≤ 90°), in order of falling intensity:
- 3.576 Å, 2θ = 24.90°, intensity 100
- 2.590 Å, 2θ = 34.63°, intensity 46
- 2.489 Å, 2θ = 36.09°, intensity 39
- 2.231 Å, 2θ = 40.43°, intensity 39
- 2.294 Å, 2θ = 39.27°, intensity 33
- 3.900 Å, 2θ = 22.80°, intensity 30
- 2.962 Å, 2θ = 30.18°, intensity 28
- 3.392 Å, 2θ = 26.28°, intensity 24
- 1.950 Å, 2θ = 46.58°, intensity 24
- 1.905 Å, 2θ = 47.73°, intensity 23
- 2.812 Å, 2θ = 31.82°, intensity 22
- 1.859 Å, 2θ = 49.00°, intensity 20

(2)
For Lu3Cu4Ge4, a crystal structure in the Materials Project, relaxed with GGA-PBE gives the computed powder XRD pattern in this record (Cu Kα, 1.54184 Å).
Lines closer than 0.1° are merged.

abc: 7.8394 7.8394 7.8394
angles: 149.57 130.71 59.04
Fractional coordinates of all 11 atoms:
Lu 0.0000 0.0000 0.0000
Lu 0.3706 0.8706 0.5000
Lu 0.6294 0.1294 0.5000
Cu 0.0224 0.3309 0.6914
Cu 0.3605 0.6691 0.6914
Cu 0.6395 0.3309 0.3086
Cu 0.9776 0.6691 0.3086
Ge 0.2145 0.2145 0.0000
Ge 0.3077 0.5000 0.8077
Ge 0.6923 0.5000 0.1923
Ge 0.7855 0.7855 0.0000

The 12 most intense peaks (10° ≤ 2θ ≤ 90°), in order of falling intensity:
- 2.516 Å, 2θ = 35.68°, intensity 100
- 2.437 Å, 2θ = 36.89°, intensity 81
- 2.058 Å, 2θ = 44.01°, intensity 29
- 1.965 Å, 2θ = 46.19°, intensity 22
- 1.422 Å, 2θ = 65.68°, intensity 20
- 2.274 Å, 2θ = 39.64°, intensity 16
- 1.171 Å, 2θ = 82.38°, intensity 12
- 1.593 Å, 2θ = 57.87°, intensity 12
- 1.867 Å, 2θ = 48.77°, intensity 11
- 3.269 Å, 2θ = 27.28°, intensity 11
- 1.511 Å, 2θ = 61.37°, intensity 11
- 1.551 Å, 2θ = 59.62°, intensity 11

(3)
For LuCuGe, a crystal structure in the Materials Project, relaxed with GGA-PBE gives the computed powder XRD pattern in this record (Cu Kα, 1.54184 Å).
Lines closer than 0.1° are merged.

abc: 4.1995 4.1995 3.6151
angles: 90.00 90.00 120.00
Fractional coordinates of all 3 atoms:
Lu 0.0000 0.0000 0.0000
Cu 0.3333 0.6667 0.5000
Ge 0.6667 0.3333 0.5000

The 12 most intense peaks (10° ≤ 2θ ≤ 90°), in order of falling intensity:
- 2.564 Å, 2θ = 35.00°, intensity 100
- 2.100 Å, 2θ = 43.08°, intensity 47
- 1.624 Å, 2θ = 56.66°, intensity 25
- 1.370 Å, 2θ = 68.49°, intensity 23
- 1.285 Å, 2θ = 73.74°, intensity 23
- 3.637 Å, 2θ = 24.48°, intensity 21
- 1.808 Å, 2θ = 50.49°, intensity 10
- 1.144 Å, 2θ = 84.75°, intensity 8
- 1.212 Å, 2θ = 78.98°, intensity 8
- 1.619 Å, 2θ = 56.88°, intensity 4
- 1.818 Å, 2θ = 50.18°, intensity 4
- 1.094 Å, 2θ = 89.59°, intensity 3

Copy entry 1 word for word.
For La3CuGeS7, a crystal structure in the Materials Project, relaxed with GGA-PBE gives the computed powder XRD pattern in this record (Cu Kα, 1.54184 Å).
Lines closer than 0.1° are merged.

abc: 10.3613 10.3613 5.9232
angles: 90.00 90.00 120.00
Fractional coordinates of all 24 atoms:
La 0.1267 0.3562 0.0000
La 0.2295 0.8733 0.0000
La 0.3562 0.2295 0.5000
La 0.6438 0.7705 0.0000
La 0.7705 0.1267 0.5000
La 0.8733 0.6438 0.5000
Cu 0.0000 0.0000 0.4714
Cu 0.0000 0.0000 0.9714
Ge 0.3333 0.6667 0.5820
Ge 0.6667 0.3333 0.0820
S 0.0885 0.2489 0.4842
S 0.1063 0.5845 0.7323
S 0.1604 0.9115 0.4842
S 0.2489 0.1604 0.9842
S 0.3333 0.6667 0.2095
S 0.4155 0.5218 0.7323
S 0.4782 0.8937 0.7323
S 0.5218 0.1063 0.2323
S 0.5845 0.4782 0.2323
S 0.6667 0.3333 0.7095
S 0.7511 0.8396 0.4842
S 0.8396 0.0885 0.9842
S 0.8937 0.4155 0.2323
S 0.9115 0.7511 0.9842

The 12 most intense peaks (10° ≤ 2θ ≤ 90°), in order of falling intensity:
- 3.576 Å, 2θ = 24.90°, intensity 100
- 2.590 Å, 2θ = 34.63°, intensity 46
- 2.489 Å, 2θ = 36.09°, intensity 39
- 2.231 Å, 2θ = 40.43°, intensity 39
- 2.294 Å, 2θ = 39.27°, intensity 33
- 3.900 Å, 2θ = 22.80°, intensity 30
- 2.962 Å, 2θ = 30.18°, intensity 28
- 3.392 Å, 2θ = 26.28°, intensity 24
- 1.950 Å, 2θ = 46.58°, intensity 24
- 1.905 Å, 2θ = 47.73°, intensity 23
- 2.812 Å, 2θ = 31.82°, intensity 22
- 1.859 Å, 2θ = 49.00°, intensity 20